1.
Structure and simulated powder diffraction line list of Li2Ac3Tb2Tl4 (DFT lattice parameters and positions (GGA-PBE); Cu Kα X-rays).

Structure:
a = 5.1704 Å, b = 5.1704 Å, c = 15.4672 Å
α = 90.00°, β = 90.00°, γ = 120.00°
Fractional positions:
Li1 0.3333 0.6667 0.1315
Li2 0.6667 0.3333 0.8685
Ac1 0.0000 0.0000 0.0000
Ac2 0.0000 0.0000 0.2522
Ac3 0.0000 0.0000 0.7478
Tb1 0.3333 0.6667 0.5720
Tb2 0.6667 0.3333 0.4280
Tl1 0.3333 0.6667 0.3662
Tl2 0.3333 0.6667 0.8735
Tl3 0.6667 0.3333 0.1265
Tl4 0.6667 0.3333 0.6338

Most intense lines, 10 to 90 degrees two-theta, sorted by position:
20.65°, d = 4.301 Å, I 26, hkl 1 0 1; 22.95°, d = 3.875 Å, I 47, hkl 0 1 2; 30.55°, d = 2.927 Å, I 100, hkl 0 1 4; 34.70°, d = 2.585 Å, I 86, hkl 1 1 0; 46.89°, d = 1.938 Å, I 31, hkl 2 0 4; 59.66°, d = 1.550 Å, I 46, hkl 1 2 4

=====

2.
Structure and simulated powder diffraction line list of K6Al3Cl14 (DFT lattice parameters and positions (GGA-PBE); Cu Kα X-rays).

Structure:
a = 11.1062 Å, b = 11.1062 Å, c = 6.6007 Å
α = 90.00°, β = 90.00°, γ = 120.00°
Fractional positions:
K1 0.0515 0.5624 0.0000
K2 0.3158 0.1210 0.4722
K3 0.4376 0.4891 0.0000
K4 0.5109 0.9485 0.0000
K5 0.8052 0.6842 0.4722
K6 0.8790 0.1948 0.4722
Al1 0.0000 0.0000 0.9140
Al2 0.3333 0.6667 0.3707
Al3 0.6667 0.3333 0.8237
Cl1 0.0000 0.0000 0.2428
Cl2 0.0857 0.8772 0.7973
Cl3 0.1228 0.2086 0.7973
Cl4 0.1916 0.4233 0.3291
Cl5 0.2317 0.8084 0.3291
Cl6 0.3333 0.6667 0.7153
Cl7 0.4643 0.2121 0.0247
Cl8 0.5464 0.4129 0.6162
Cl9 0.5767 0.7683 0.3291
Cl10 0.5871 0.1336 0.6162
Cl11 0.7477 0.5357 0.0247
Cl12 0.7879 0.2523 0.0247
Cl13 0.7914 0.9143 0.7973
Cl14 0.8664 0.4536 0.6162

Most intense lines, 10 to 90 degrees two-theta, sorted by position:
22.88°, d = 3.887 Å, I 59, hkl 2 0 1; 28.02°, d = 3.184 Å, I 95, hkl 1 2 1; 28.59°, d = 3.122 Å, I 52, hkl 1 0 2; 31.01°, d = 2.884 Å, I 100, hkl 3 0 1; 36.32°, d = 2.473 Å, I 38, hkl 4 -3 1; 39.90°, d = 2.259 Å, I 40, hkl 4 0 1